The following is a simulated XRD peak list of CsCeCo2F8. It was derived from a PBE+U-relaxed structure, using Cu Kα X-rays.
Intensities are scaled so that the largest is 1000.

Most intense lines, 10° ≤ 2θ ≤ 90°, in order of rising 2θ:
h k l	2θ (°)	I_rel
1 0 4	23.15	1000
1 1 0	31.42	431
0 1 8	34.45	312
0 2 4	39.39	211
2 1 4	51.23	212
1 1 12	55.34	248

Structure:
```
data_CsCeCo2F8
_chemical_formula_sum 'Cs3 Ce3 Co6 F24'
_space_group_name_H-M_alt 'R -3'
_space_group_IT_number 148
_space_group_name_Hall '-R 3'
_cell_length_a 5.6941
_cell_length_b 5.6941
_cell_length_c 24.5192
_cell_angle_alpha 90.00
_cell_angle_beta 90.00
_cell_angle_gamma 120.00
loop_
_atom_site_label
_atom_site_fract_x
_atom_site_fract_y
_atom_site_fract_z
Cs1 0.0000 0.0000 0.0000
Ce1 0.0000 0.0000 0.5000
Co1 0.0000 0.0000 0.2534
F1 0.0000 0.0000 0.3293
F2 0.0106 0.3581 0.8881
```